Theoretical X-ray powder pattern
Compound: Ac4CdPt2
Radiation: copper Kα
Structure: a GGA-PBE-relaxed structure
Neutral-atom scattering factors, no anomalous dispersion.

Peak list (6 most intense, 2θ = 5–70°, by angle)
d = 3.443 Å, 2θ = 25.9°, rel. 62
d = 3.341 Å, 2θ = 26.7°, rel. 69
d = 3.177 Å, 2θ = 28.1°, rel. 49
d = 3.127 Å, 2θ = 28.5°, rel. 72
d = 2.760 Å, 2θ = 32.4°, rel. 49
d = 2.210 Å, 2θ = 40.8°, rel. 100

Structural model:
a = 13.777 Å, b = 4.421 Å, c = 16.470 Å
α = 90.00°, β = 90.00°, γ = 90.00°
Fractional positions:
Ac1 0.026 0.250 0.213
Ac2 0.084 0.750 0.427
Ac3 0.124 0.250 0.973
Ac4 0.206 0.250 0.656
Ac5 0.294 0.750 0.156
Ac6 0.376 0.750 0.473
Ac7 0.416 0.250 0.927
Ac8 0.474 0.750 0.713
Ac9 0.526 0.250 0.287
Ac10 0.584 0.750 0.073
Ac11 0.624 0.250 0.527
Ac12 0.706 0.250 0.844
Ac13 0.794 0.750 0.344
Ac14 0.876 0.750 0.027
Ac15 0.916 0.250 0.573
Ac16 0.974 0.750 0.787
Cd1 0.239 0.750 0.828
Cd2 0.261 0.250 0.328
Cd3 0.739 0.750 0.672
Cd4 0.761 0.250 0.172
Pt1 0.061 0.750 0.611
Pt2 0.080 0.750 0.096
Pt3 0.420 0.250 0.596
Pt4 0.439 0.250 0.111
Pt5 0.561 0.750 0.889
Pt6 0.580 0.750 0.404
Pt7 0.920 0.250 0.904
Pt8 0.939 0.250 0.389


Theoretical X-ray powder pattern
Compound: Ac2Cd2Pt3
Radiation: copper Kα
Structure: a GGA-PBE-relaxed structure
Neutral-atom scattering factors, no anomalous dispersion.

Peak list (6 most intense, 2θ = 5–70°, by angle)
d = 3.326 Å, 2θ = 26.8°, rel. 68
d = 3.015 Å, 2θ = 29.6°, rel. 68
d = 2.973 Å, 2θ = 30.1°, rel. 59
d = 2.702 Å, 2θ = 33.2°, rel. 96
d = 2.576 Å, 2θ = 34.8°, rel. 100
d = 2.151 Å, 2θ = 42.0°, rel. 86

Structural model:
a = 8.272 Å, b = 8.272 Å, c = 12.894 Å
α = 122.37°, β = 122.37°, γ = 30.14°
Fractional positions:
Ac1 0.113 0.113 0.457
Ac2 0.231 0.231 0.831
Ac3 0.769 0.769 0.169
Ac4 0.887 0.887 0.543
Cd1 0.082 0.082 0.155
Cd2 0.452 0.452 0.179
Cd3 0.548 0.548 0.821
Cd4 0.918 0.918 0.845
Pt1 0.130 0.130 0.981
Pt2 0.334 0.334 0.674
Pt3 0.425 0.425 0.376
Pt4 0.575 0.575 0.624
Pt5 0.666 0.666 0.326
Pt6 0.870 0.870 0.019


> Number 2 is which compound?

Ac2Cd2Pt3